Entry 1:
This entry pairs a crystal structure of NaV5Se8 with its computed powder diffractogram. Radiation: Cu Kα, 1.54184 Å. Structure: a DFT-relaxed cell (PBE, Alexandria).

Main lines, by intensity (10° ≤ 2θ ≤ 90°):
2θ = 33.0°, I = 1000
2θ = 34.4°, I = 711
2θ = 40.8°, I = 531
2θ = 32.1°, I = 467
2θ = 52.2°, I = 446
2θ = 10.3°, I = 290
2θ = 53.1°, I = 280
2θ = 12.4°, I = 269

Structure:
```
NaV5Se8
1.0
9.165 -1.725 0.000
9.165 1.725 0.000
-2.236 0.000 8.596
Na V Se
1 5 8
Direct
0.000 0.000 0.000 Na
0.144 0.144 0.493 V
0.210 0.210 0.852 V
0.500 0.500 0.499 V
0.789 0.789 0.146 V
0.856 0.856 0.507 V
0.072 0.072 0.685 Se
0.259 0.259 0.345 Se
0.341 0.341 0.999 Se
0.418 0.418 0.693 Se
0.582 0.582 0.306 Se
0.658 0.658 0.000 Se
0.740 0.740 0.654 Se
0.928 0.928 0.313 Se
```

Entry 2:
This entry pairs a crystal structure of Na2WSe5 with its computed powder diffractogram. Radiation: Cu Kα, 1.54184 Å. Structure: a DFT-relaxed cell (PBE, Alexandria).

Main lines, by intensity (10° ≤ 2θ ≤ 90°):
2θ = 13.4°, I = 1000
2θ = 14.9°, I = 825
2θ = 39.2°, I = 450
2θ = 17.4°, I = 395
2θ = 28.6°, I = 333
2θ = 19.3°, I = 312
2θ = 27.1°, I = 288
2θ = 24.5°, I = 258

Structure:
```
Na2WSe5
1.0
-2.820 3.953 5.956
2.820 -3.953 5.956
2.820 3.953 -5.956
Na W Se
2 1 5
Direct
0.000 0.000 0.000 Na
0.473 0.473 0.000 Na
0.763 0.263 0.500 W
0.059 0.066 0.467 Se
0.059 0.592 0.993 Se
0.568 0.068 0.500 Se
0.599 0.066 0.007 Se
0.599 0.592 0.533 Se
```

Entry 3:
This entry pairs a crystal structure of Na14Zn2Se9 with its computed powder diffractogram. Radiation: Cu Kα, 1.54184 Å. Structure: a DFT-relaxed cell (PBE, Alexandria).

Main lines, by intensity (10° ≤ 2θ ≤ 90°):
2θ = 23.0°, I = 1000
2θ = 38.2°, I = 686
2θ = 37.9°, I = 645
2θ = 14.6°, I = 564
2θ = 23.2°, I = 385
2θ = 44.9°, I = 251
2θ = 34.2°, I = 176
2θ = 54.9°, I = 166

Structure:
```
Na14Zn2Se9
1.0
8.224 0.000 0.000
-4.112 7.122 0.000
0.000 0.000 11.518
Na Zn Se
14 2 9
Direct
0.000 0.000 0.249 Na
0.000 0.000 0.751 Na
0.025 0.673 0.409 Na
0.059 0.376 0.094 Na
0.317 0.941 0.094 Na
0.327 0.352 0.409 Na
0.352 0.025 0.591 Na
0.376 0.317 0.906 Na
0.624 0.683 0.094 Na
0.648 0.975 0.409 Na
0.673 0.648 0.591 Na
0.683 0.059 0.906 Na
0.941 0.624 0.906 Na
0.975 0.327 0.591 Na
0.333 0.667 0.760 Zn
0.667 0.333 0.240 Zn
0.000 0.000 0.500 Se
0.057 0.361 0.836 Se
0.304 0.943 0.836 Se
0.333 0.667 0.538 Se
0.361 0.304 0.164 Se
0.639 0.696 0.836 Se
0.667 0.333 0.462 Se
0.696 0.057 0.164 Se
0.943 0.639 0.164 Se
```

Entry 4:
This entry pairs a crystal structure of Na2Zn3Se4 with its computed powder diffractogram. Radiation: Cu Kα, 1.54184 Å. Structure: a DFT-relaxed cell (PBE, Alexandria).

Main lines, by intensity (10° ≤ 2θ ≤ 90°):
2θ = 29.9°, I = 1000
2θ = 13.0°, I = 813
2θ = 39.2°, I = 494
2θ = 23.3°, I = 451
2θ = 45.7°, I = 408
2θ = 44.1°, I = 292
2θ = 54.0°, I = 238
2θ = 31.6°, I = 205

Structure:
```
Na2Zn3Se4
1.0
-3.119 5.152 6.794
3.119 -5.152 6.794
3.119 5.152 -6.794
Na Zn Se
4 6 8
Direct
0.126 0.246 0.371 Na
0.374 0.746 0.120 Na
0.626 0.254 0.880 Na
0.874 0.754 0.629 Na
0.033 0.750 0.283 Zn
0.250 0.250 0.000 Zn
0.467 0.750 0.717 Zn
0.533 0.250 0.283 Zn
0.750 0.750 0.000 Zn
0.967 0.250 0.717 Zn
0.007 0.367 0.099 Se
0.232 0.133 0.640 Se
0.268 0.908 0.901 Se
0.493 0.592 0.360 Se
0.507 0.408 0.640 Se
0.732 0.092 0.099 Se
0.768 0.867 0.360 Se
0.993 0.633 0.901 Se
```

Entry 5:
This entry pairs a crystal structure of Na4Zn3Se5 with its computed powder diffractogram. Radiation: Cu Kα, 1.54184 Å. Structure: a DFT-relaxed cell (PBE, Alexandria).

Main lines, by intensity (10° ≤ 2θ ≤ 90°):
2θ = 43.9°, I = 1000
2θ = 43.3°, I = 992
2θ = 25.5°, I = 949
2θ = 11.0°, I = 912
2θ = 28.6°, I = 783
2θ = 25.7°, I = 776
2θ = 43.5°, I = 682
2θ = 26.0°, I = 646

Structure:
```
Na4Zn3Se5
1.0
13.844 0.000 0.000
0.000 4.124 0.000
0.000 0.000 19.674
Na Zn Se
16 12 20
Direct
0.011 0.250 0.081 Na
0.011 0.750 0.265 Na
0.105 0.250 0.547 Na
0.236 0.750 0.165 Na
0.264 0.250 0.665 Na
0.395 0.750 0.047 Na
0.489 0.250 0.765 Na
0.489 0.750 0.581 Na
0.511 0.250 0.419 Na
0.511 0.750 0.235 Na
0.605 0.250 0.953 Na
0.736 0.750 0.335 Na
0.764 0.250 0.835 Na
0.895 0.750 0.453 Na
0.989 0.250 0.735 Na
0.989 0.750 0.919 Na
0.081 0.250 0.366 Zn
0.172 0.750 0.781 Zn
0.207 0.250 0.958 Zn
0.293 0.750 0.458 Zn
0.328 0.250 0.281 Zn
0.419 0.750 0.866 Zn
0.581 0.250 0.134 Zn
0.672 0.750 0.719 Zn
0.707 0.250 0.542 Zn
0.793 0.750 0.042 Zn
0.828 0.250 0.219 Zn
0.919 0.750 0.634 Zn
0.101 0.750 0.660 Se
0.115 0.750 0.435 Se
0.118 0.250 0.847 Se
0.156 0.250 0.252 Se
0.158 0.750 0.023 Se
0.342 0.250 0.523 Se
0.344 0.750 0.752 Se
0.382 0.750 0.347 Se
0.385 0.250 0.935 Se
0.399 0.250 0.160 Se
0.601 0.750 0.840 Se
0.615 0.750 0.065 Se
0.618 0.250 0.653 Se
0.656 0.250 0.248 Se
0.658 0.750 0.477 Se
0.842 0.250 0.977 Se
0.844 0.750 0.748 Se
0.882 0.750 0.153 Se
0.885 0.250 0.565 Se
0.899 0.250 0.340 Se
```

Entry 6:
This entry pairs a crystal structure of Na2ZnSe2 with its computed powder diffractogram. Radiation: Cu Kα, 1.54184 Å. Structure: a DFT-relaxed cell (PBE, Alexandria).

Main lines, by intensity (10° ≤ 2θ ≤ 90°):
2θ = 18.5°, I = 1000
2θ = 32.9°, I = 337
2θ = 24.8°, I = 261
2θ = 18.1°, I = 249
2θ = 41.6°, I = 232
2θ = 43.1°, I = 221
2θ = 48.6°, I = 185
2θ = 41.1°, I = 180

Structure:
```
Na2ZnSe2
1.0
7.240 -2.722 0.000
7.240 2.722 0.000
-6.263 0.000 7.912
Na Zn Se
4 2 4
Direct
0.067 0.067 0.259 Na
0.326 0.326 0.988 Na
0.674 0.674 0.012 Na
0.933 0.933 0.741 Na
0.375 0.375 0.350 Zn
0.625 0.625 0.650 Zn
0.178 0.178 0.102 Se
0.452 0.452 0.643 Se
0.548 0.548 0.357 Se
0.822 0.822 0.898 Se
```

Entry 7:
This entry pairs a crystal structure of Na2Zn2Se3 with its computed powder diffractogram. Radiation: Cu Kα, 1.54184 Å. Structure: a DFT-relaxed cell (PBE, Alexandria).

Main lines, by intensity (10° ≤ 2θ ≤ 90°):
2θ = 18.4°, I = 1000
2θ = 27.9°, I = 770
2θ = 35.0°, I = 660
2θ = 25.0°, I = 637
2θ = 49.7°, I = 385
2θ = 40.9°, I = 372
2θ = 45.7°, I = 313
2θ = 41.0°, I = 298

Structure:
```
Na2Zn2Se3
1.0
7.417 0.000 0.000
0.000 7.417 0.000
0.000 0.000 12.176
Na Zn Se
8 8 12
Direct
0.059 0.334 0.308 Na
0.166 0.559 0.058 Na
0.334 0.059 0.692 Na
0.441 0.834 0.442 Na
0.559 0.166 0.942 Na
0.666 0.941 0.192 Na
0.834 0.441 0.558 Na
0.941 0.666 0.808 Na
0.028 0.193 0.884 Zn
0.193 0.028 0.116 Zn
0.307 0.528 0.634 Zn
0.472 0.693 0.866 Zn
0.528 0.307 0.366 Zn
0.693 0.472 0.134 Zn
0.807 0.972 0.616 Zn
0.972 0.807 0.384 Zn
0.078 0.774 0.579 Se
0.211 0.789 0.250 Se
0.226 0.922 0.921 Se
0.274 0.422 0.829 Se
0.289 0.289 0.500 Se
0.422 0.274 0.171 Se
0.578 0.726 0.671 Se
0.711 0.711 0.000 Se
0.726 0.578 0.329 Se
0.774 0.078 0.421 Se
0.789 0.211 0.750 Se
0.922 0.226 0.079 Se
```

Entry 8:
This entry pairs a crystal structure of Na8ZrSe6 with its computed powder diffractogram. Radiation: Cu Kα, 1.54184 Å. Structure: a DFT-relaxed cell (PBE, Alexandria).

Main lines, by intensity (10° ≤ 2θ ≤ 90°):
2θ = 25.1°, I = 1000
2θ = 42.3°, I = 861
2θ = 24.3°, I = 765
2θ = 20.8°, I = 635
2θ = 26.2°, I = 628
2θ = 13.0°, I = 393
2θ = 44.3°, I = 384
2θ = 38.7°, I = 353

Structure:
```
Na8ZrSe6
1.0
8.182 0.000 0.000
0.000 8.710 0.000
0.000 0.000 12.251
Na Zr Se
16 2 12
Direct
0.000 0.132 0.000 Na
0.000 0.238 0.439 Na
0.206 0.575 0.792 Na
0.212 0.713 0.111 Na
0.222 0.942 0.771 Na
0.278 0.058 0.271 Na
0.288 0.287 0.611 Na
0.294 0.425 0.292 Na
0.500 0.762 0.939 Na
0.500 0.868 0.500 Na
0.706 0.425 0.292 Na
0.712 0.287 0.611 Na
0.722 0.058 0.271 Na
0.778 0.942 0.771 Na
0.788 0.713 0.111 Na
0.794 0.575 0.792 Na
0.000 0.744 0.469 Zr
0.500 0.256 0.969 Zr
0.000 0.257 0.218 Se
0.000 0.498 0.590 Se
0.000 0.784 0.931 Se
0.000 0.990 0.585 Se
0.248 0.745 0.346 Se
0.252 0.255 0.846 Se
0.500 0.010 0.085 Se
0.500 0.216 0.431 Se
0.500 0.502 0.090 Se
0.500 0.743 0.718 Se
0.748 0.255 0.846 Se
0.752 0.745 0.346 Se
```

Entry 9:
This entry pairs a crystal structure of Na5Si34 with its computed powder diffractogram. Radiation: Cu Kα, 1.54184 Å. Structure: a DFT-relaxed cell (PBE, Alexandria).

Main lines, by intensity (10° ≤ 2θ ≤ 90°):
2θ = 52.6°, I = 1000
2θ = 31.5°, I = 877
2θ = 36.0°, I = 704
2θ = 34.4°, I = 420
2θ = 50.6°, I = 305
2θ = 29.7°, I = 304
2θ = 53.8°, I = 282
2θ = 20.0°, I = 211

Structure:
```
Na5Si34
1.0
5.221 3.014 8.511
-5.221 3.014 8.511
0.000 -6.029 8.511
Na Si
5 34
Direct
0.000 0.500 0.500 Na
0.139 0.139 0.139 Na
0.500 0.000 0.500 Na
0.500 0.500 0.000 Na
0.861 0.861 0.861 Na
0.128 0.128 0.506 Si
0.128 0.506 0.128 Si
0.129 0.129 0.737 Si
0.129 0.506 0.736 Si
0.129 0.736 0.506 Si
0.129 0.737 0.129 Si
0.263 0.871 0.871 Si
0.264 0.494 0.871 Si
0.264 0.871 0.494 Si
0.282 0.282 0.282 Si
0.282 0.282 0.653 Si
0.282 0.653 0.282 Si
0.347 0.718 0.718 Si
0.375 0.375 0.375 Si
0.494 0.264 0.871 Si
0.494 0.871 0.264 Si
0.494 0.872 0.872 Si
0.506 0.128 0.128 Si
0.506 0.129 0.736 Si
0.506 0.736 0.129 Si
0.625 0.625 0.625 Si
0.653 0.282 0.282 Si
0.718 0.347 0.718 Si
0.718 0.718 0.347 Si
0.718 0.718 0.718 Si
0.736 0.129 0.506 Si
0.736 0.506 0.129 Si
0.737 0.129 0.129 Si
0.871 0.263 0.871 Si
0.871 0.264 0.494 Si
0.871 0.494 0.264 Si
0.871 0.871 0.263 Si
0.872 0.494 0.872 Si
0.872 0.872 0.494 Si
```

Entry 10:
This entry pairs a crystal structure of NaSi2 with its computed powder diffractogram. Radiation: Cu Kα, 1.54184 Å. Structure: a DFT-relaxed cell (PBE, Alexandria).

Main lines, by intensity (10° ≤ 2θ ≤ 90°):
2θ = 12.1°, I = 1000
2θ = 33.2°, I = 721
2θ = 34.6°, I = 538
2θ = 47.6°, I = 468
2θ = 27.5°, I = 456
2θ = 38.2°, I = 409
2θ = 34.0°, I = 358
2θ = 27.3°, I = 284

Structure:
```
NaSi2
1.0
3.831 0.000 0.000
1.618 4.766 0.000
0.240 1.092 7.292
Na Si
2 4
Direct
0.159 0.248 0.361 Na
0.841 0.752 0.639 Na
0.166 0.146 0.792 Si
0.394 0.737 0.037 Si
0.606 0.263 0.963 Si
0.834 0.854 0.208 Si
```